Record 1
Structure and simulated powder XRD pattern of Dy4Co3B6 (a structure optimized by DFT (GGA-PBE); a wavelength of 1.5418 Å).
Lines closer than 0.1° are merged.

Atomic structure:
```
data_Dy4Co3B6
_space_group_name_H-M_alt 'R -3 m'
_space_group_IT_number 166
_space_group_name_Hall '-R 3 2"'
_cell_length_a 5.3038
_cell_length_b 5.3038
_cell_length_c 21.9499
_cell_angle_alpha 90.00
_cell_angle_beta 90.00
_cell_angle_gamma 120.00
loop_
_atom_site_label
_atom_site_type_symbol
_atom_site_fract_x
_atom_site_fract_y
_atom_site_fract_z
Dy1 Dy 0.0000 0.0000 0.0890
Dy2 Dy 0.0000 0.0000 0.2447
Co1 Co 0.0000 0.0000 0.3873
Co2 Co 0.0000 0.0000 0.5000
B1 B 0.0000 0.3320 0.0000
```

The 8 most intense peaks (10° ≤ 2θ ≤ 80°), by angle:
| hkl | d (Å) | two_theta | I_rel |
| --- | --- | --- | --- |
| 0 0 6 | 3.658 | 24.33 | 38 |
| 1 1 0 | 2.652 | 33.80 | 100 |
| 1 0 7 | 2.590 | 34.64 | 23 |
| 0 1 8 | 2.355 | 38.21 | 17 |
| 1 1 6 | 2.147 | 42.08 | 70 |
| 3 0 0 | 1.531 | 60.47 | 21 |
| 1 1 12 | 1.506 | 61.59 | 18 |
| 3 0 6 | 1.412 | 66.16 | 15 |



Record 2
Structure and simulated powder XRD pattern of ErCoB3 (a structure optimized by DFT (GGA-PBE); a wavelength of 1.5418 Å).
Lines closer than 0.1° are merged.

Atomic structure:
```
data_ErCoB3
_space_group_name_H-M_alt 'C m c m'
_space_group_IT_number 63
_space_group_name_Hall '-C 2c 2'
_cell_length_a 3.3886
_cell_length_b 19.8697
_cell_length_c 3.1168
_cell_angle_alpha 90.00
_cell_angle_beta 90.00
_cell_angle_gamma 90.00
loop_
_atom_site_label
_atom_site_type_symbol
_atom_site_fract_x
_atom_site_fract_y
_atom_site_fract_z
Er1 Er 0.0000 0.0839 0.2500
Co1 Co 0.0000 0.2114 0.7500
B1 B 0.0000 0.3126 0.7500
B2 B 0.0000 0.3481 0.2500
B3 B 0.0000 0.4841 0.2500
```

The 8 most intense peaks (10° ≤ 2θ ≤ 80°), by angle:
| hkl | d (Å) | two_theta | I_rel |
| --- | --- | --- | --- |
| 1 1 0 | 3.340 | 26.69 | 67 |
| 0 6 0 | 3.312 | 26.92 | 38 |
| 0 2 1 | 2.974 | 30.05 | 31 |
| 0 4 1 | 2.640 | 33.96 | 64 |
| 1 5 0 | 2.578 | 34.79 | 18 |
| 1 7 0 | 2.176 | 41.50 | 48 |
| 1 3 1 | 2.168 | 41.67 | 100 |
| 2 4 1 | 1.426 | 65.45 | 19 |



Record 3
Structure and simulated powder XRD pattern of Er3Co3B8 (a structure optimized by DFT (GGA-PBE); a wavelength of 1.5418 Å).
Lines closer than 0.1° are merged.

Atomic structure:
```
data_Er3Co3B8
_space_group_name_H-M_alt 'I m m m'
_space_group_IT_number 71
_space_group_name_Hall '-I 2 2'
_cell_length_a 3.2332
_cell_length_b 8.8139
_cell_length_c 10.2979
_cell_angle_alpha 90.00
_cell_angle_beta 90.00
_cell_angle_gamma 90.00
loop_
_atom_site_label
_atom_site_type_symbol
_atom_site_fract_x
_atom_site_fract_y
_atom_site_fract_z
Er1 Er 0.0000 0.0000 0.0000
Er2 Er 0.0000 0.0000 0.2973
Co1 Co 0.0000 0.2219 0.5000
Co2 Co 0.0000 0.5000 0.0000
B1 B 0.0000 0.2777 0.1367
B2 B 0.0000 0.3084 0.3195
```

The 8 most intense peaks (10° ≤ 2θ ≤ 80°), by angle:
| hkl | d (Å) | two_theta | I_rel |
| --- | --- | --- | --- |
| 0 2 0 | 4.407 | 20.15 | 70 |
| 0 1 3 | 3.199 | 27.89 | 50 |
| 1 1 0 | 3.035 | 29.43 | 76 |
| 1 2 1 | 2.527 | 35.52 | 28 |
| 0 3 3 | 2.232 | 40.41 | 33 |
| 0 4 0 | 2.203 | 40.96 | 38 |
| 1 3 0 | 2.174 | 41.53 | 27 |
| 1 2 3 | 2.076 | 43.60 | 100 |



Record 4
Structure and simulated powder XRD pattern of Er2Co7B3 (a structure optimized by DFT (GGA-PBE); a wavelength of 1.5418 Å).
Lines closer than 0.1° are merged.

Atomic structure:
```
data_Er2Co7B3
_space_group_name_H-M_alt 'P 6/m m m'
_space_group_IT_number 191
_space_group_name_Hall '-P 6 2'
_cell_length_a 4.9894
_cell_length_b 4.9894
_cell_length_c 12.7774
_cell_angle_alpha 90.00
_cell_angle_beta 90.00
_cell_angle_gamma 120.00
loop_
_atom_site_label
_atom_site_type_symbol
_atom_site_fract_x
_atom_site_fract_y
_atom_site_fract_z
Er1 Er 0.0000 0.0000 0.0000
Er2 Er 0.0000 0.0000 0.2389
Er3 Er 0.0000 0.0000 0.5000
Co1 Co 0.0000 0.5000 0.1159
Co2 Co 0.0000 0.5000 0.3459
Co3 Co 0.3333 0.6667 0.5000
B1 B 0.3333 0.6667 0.0000
B2 B 0.3333 0.6667 0.2316
```

The 8 most intense peaks (10° ≤ 2θ ≤ 80°), by angle:
| hkl | d (Å) | two_theta | I_rel |
| --- | --- | --- | --- |
| 1 0 0 | 4.321 | 20.56 | 30 |
| 1 0 4 | 2.569 | 34.93 | 100 |
| 1 1 0 | 2.495 | 36.00 | 26 |
| 2 0 0 | 2.160 | 41.81 | 87 |
| 1 1 4 | 1.966 | 46.17 | 79 |
| 2 1 4 | 1.454 | 64.03 | 34 |
| 3 0 4 | 1.313 | 71.91 | 20 |
| 2 2 0 | 1.247 | 76.35 | 19 |